This entry pairs a crystal structure of AgSbC6N4O2F6 with its computed powder XRD pattern. Radiation: Cu Kα (weighted mean of Kα1 and Kα2). Structure: a crystal structure in the Materials Project, relaxed with GGA-PBE.
Peak positions follow from Bragg's law for the DFT cell and can differ from measured ones.

Largest 10 diffraction maxima, in order of rising 2θ, 10 to 90 degrees two-theta:
14.80 deg, intensity 100; 16.59 deg, intensity 63; 20.11 deg, intensity 43; 22.25 deg, intensity 67; 22.35 deg, intensity 62; 22.73 deg, intensity 88; 23.94 deg, intensity 94; 31.76 deg, intensity 56; 34.42 deg, intensity 39; 38.37 deg, intensity 34

Structural model:
Cell lengths 7.909, 7.909, 10.689 Å; angles 90.19, 90.19, 81.67 degrees
Element x y z (fractional)
Ag: 0.197 0.803 0.750
Ag: 0.803 0.197 0.250
Sb: 0.202 0.798 0.250
Sb: 0.798 0.202 0.750
C: 0.135 0.293 0.430
C: 0.274 0.447 0.942
C: 0.284 0.316 0.508
C: 0.293 0.135 0.930
C: 0.316 0.284 0.008
C: 0.447 0.274 0.442
C: 0.553 0.726 0.558
C: 0.684 0.716 0.992
C: 0.707 0.865 0.070
C: 0.716 0.684 0.492
C: 0.726 0.553 0.058
C: 0.865 0.707 0.570
N: 0.021 0.272 0.367
N: 0.244 0.576 0.889
N: 0.272 0.021 0.867
N: 0.424 0.756 0.611
N: 0.576 0.244 0.389
N: 0.728 0.979 0.133
N: 0.756 0.424 0.111
N: 0.979 0.728 0.633
O: 0.274 0.364 0.616
O: 0.364 0.274 0.116
O: 0.636 0.726 0.884
O: 0.726 0.636 0.384
F: 0.009 0.869 0.355
F: 0.068 0.662 0.152
F: 0.131 0.991 0.145
F: 0.272 0.605 0.357
F: 0.338 0.932 0.348
F: 0.395 0.728 0.143
F: 0.605 0.272 0.857
F: 0.662 0.068 0.652
F: 0.728 0.395 0.643
F: 0.869 0.009 0.855
F: 0.932 0.338 0.848
F: 0.991 0.131 0.645

***

This entry pairs a crystal structure of AgCS2O6F3 with its computed powder XRD pattern. Radiation: Cu Kα (weighted mean of Kα1 and Kα2). Structure: a crystal structure in the Materials Project, relaxed with GGA-PBE.
Peak positions follow from Bragg's law for the DFT cell and can differ from measured ones.

Largest 10 diffraction maxima, in order of rising 2θ, 10 to 90 degrees two-theta:
19.77 deg, intensity 32; 20.87 deg, intensity 72; 21.16 deg, intensity 27; 24.88 deg, intensity 100; 26.57 deg, intensity 32; 27.63 deg, intensity 29; 29.12 deg, intensity 91; 30.81 deg, intensity 44; 37.58 deg, intensity 29; 40.32 deg, intensity 33

Structural model:
Cell lengths 5.323, 26.501, 5.669 Å; angles 90.00, 101.63, 90.00 degrees
Element x y z (fractional)
Ag: 0.211 0.190 0.383
Ag: 0.211 0.310 0.883
Ag: 0.789 0.690 0.117
Ag: 0.789 0.810 0.617
C: 0.255 0.554 0.787
C: 0.255 0.946 0.287
C: 0.745 0.054 0.713
C: 0.745 0.446 0.213
S: 0.065 0.613 0.695
S: 0.065 0.887 0.195
S: 0.363 0.697 0.526
S: 0.363 0.803 0.026
S: 0.637 0.197 0.974
S: 0.637 0.303 0.474
S: 0.935 0.113 0.805
S: 0.935 0.387 0.305
O: 0.043 0.109 0.058
O: 0.043 0.391 0.558
O: 0.098 0.120 0.632
O: 0.098 0.380 0.132
O: 0.122 0.724 0.449
O: 0.122 0.776 0.949
O: 0.287 0.653 0.748
O: 0.287 0.847 0.248
O: 0.437 0.224 0.807
O: 0.437 0.276 0.307
O: 0.445 0.666 0.349
O: 0.445 0.834 0.849
O: 0.555 0.166 0.151
O: 0.555 0.334 0.651
O: 0.563 0.724 0.693
O: 0.563 0.776 0.193
O: 0.713 0.153 0.752
O: 0.713 0.347 0.252
O: 0.878 0.224 0.051
O: 0.878 0.276 0.551
O: 0.902 0.620 0.868
O: 0.902 0.880 0.368
O: 0.957 0.609 0.442
O: 0.957 0.891 0.942
F: 0.087 0.515 0.768
F: 0.087 0.985 0.268
F: 0.383 0.557 0.016
F: 0.383 0.943 0.516
F: 0.420 0.546 0.640
F: 0.420 0.954 0.140
F: 0.580 0.046 0.860
F: 0.580 0.454 0.360
F: 0.617 0.057 0.484
F: 0.617 0.443 0.984
F: 0.913 0.015 0.732
F: 0.913 0.485 0.232